(1)
This entry pairs a crystal structure of Mg2AlB with its calculated powder X-ray diffraction pattern. Radiation: CuKα. Structure: a crystal structure in Alexandria, relaxed with PBE.
Kinematic intensities with the Lorentz-polarization factor, no thermal factor.

Crystal structure
```
Mg2AlB
1.0
5.3859 0.0000 0.0000
-0.3147 5.4493 0.0000
-2.6222 -2.3201 4.5738
Mg Al B
4 2 2
Cartesian
0.0000 0.0000 0.0000 Mg
-1.2265 1.0662 2.8531 Mg
1.3355 2.4627 1.6719 Mg
1.2069 0.1718 4.4406 Mg
-1.1274 3.8580 2.4543 Al
2.3661 5.1706 0.5474 Al
1.0451 -0.3825 2.1082 B
2.5502 -0.8102 2.7068 B
```

Principal peaks in the range 10 to 90 degrees two-theta, by angle:
2theta	intensity
31.8	53
34.0	100
37.0	86
37.3	86
38.4	70
38.6	72
39.2	42
39.4	38

=====

(2)
This entry pairs a crystal structure of PuPa3Ga with its calculated powder X-ray diffraction pattern. Radiation: CuKα. Structure: a crystal structure in Alexandria, relaxed with PBE.
Kinematic intensities with the Lorentz-polarization factor, no thermal factor.

Crystal structure
```
PuPa3Ga
1.0
6.4322 0.0000 0.0000
0.0000 4.4146 0.0000
0.0000 0.0000 16.0975
Pu Pa Ga
4 12 4
Cartesian
0.7451 1.1037 2.3209 Pu
2.4710 3.3110 10.3697 Pu
3.9612 1.1037 5.7278 Pu
5.6870 3.3110 13.7766 Pu
0.6344 1.1037 5.7429 Pa
0.8514 1.1037 12.0224 Pa
0.8907 1.1037 15.3780 Pa
2.3254 3.3110 7.3293 Pa
2.3646 3.3110 3.9737 Pa
2.5817 3.3110 13.7916 Pa
3.8505 1.1037 2.3059 Pa
4.0675 1.1037 12.1238 Pa
4.1068 1.1037 8.7682 Pa
5.5415 3.3110 0.7195 Pa
5.5807 3.3110 4.0750 Pa
5.7978 3.3110 10.3546 Pa
0.8781 1.1037 8.8613 Ga
2.3380 3.3110 0.8126 Ga
4.0942 1.1037 15.2849 Ga
5.5541 3.3110 7.2362 Ga
```

Principal peaks in the range 10 to 90 degrees two-theta, by angle:
2theta	intensity
34.5	100
39.6	33
40.9	16
57.3	11
58.2	22
68.6	25
70.3	13
72.7	11

=====

(3)
This entry pairs a crystal structure of Pm2PrSm2Dy with its calculated powder X-ray diffraction pattern. Radiation: CuKα. Structure: a crystal structure in Alexandria, relaxed with PBE.
Kinematic intensities with the Lorentz-polarization factor, no thermal factor.

Crystal structure
```
Pm2PrSm2Dy
1.0
6.6849 0.0000 0.0000
0.0000 18.0739 0.0000
0.0000 0.0000 3.4452
Pm Pr Sm Dy
4 2 4 2
Cartesian
1.5024 3.3250 0.0000 Pm
1.8401 12.3619 1.7226 Pm
4.8448 5.7120 1.7226 Pm
5.1825 14.7489 0.0000 Pm
0.0000 0.0000 0.0000 Pr
3.3425 9.0370 1.7226 Pr
1.4703 6.3543 1.7226 Sm
1.8721 15.3913 0.0000 Sm
4.8128 2.6826 0.0000 Sm
5.2146 11.7196 1.7226 Sm
0.0000 9.0370 0.0000 Dy
3.3425 0.0000 1.7226 Dy
```

Principal peaks in the range 10 to 90 degrees two-theta, by angle:
2theta	intensity
26.3	29
28.5	100
29.7	82
29.9	91
30.8	41
33.3	63
35.4	41
40.5	62

=====

(4)
This entry pairs a crystal structure of Pm3Zn2Pd6 with its calculated powder X-ray diffraction pattern. Radiation: CuKα. Structure: a crystal structure in Alexandria, relaxed with PBE.
Kinematic intensities with the Lorentz-polarization factor, no thermal factor.

Crystal structure
```
Pm3Zn2Pd6
1.0
-4.7989 4.7989 4.7989
4.7989 -4.7989 4.7989
4.7989 4.7989 -4.7989
Pm Zn Pd
6 4 12
Cartesian
2.8693 0.0000 0.0000 Pm
6.7285 0.0000 0.0000 Pm
0.0000 2.8693 0.0000 Pm
0.0000 0.0000 2.8693 Pm
0.0000 6.7285 0.0000 Pm
0.0000 0.0000 6.7285 Pm
2.3994 2.3994 -2.3994 Zn
2.3994 -2.3994 2.3994 Zn
-2.3994 2.3994 2.3994 Zn
2.3994 2.3994 2.3994 Zn
4.7989 1.6046 -1.6046 Pd
4.7989 -1.6046 1.6046 Pd
1.6046 4.7989 -1.6046 Pd
3.1942 3.1942 0.0000 Pd
3.1942 0.0000 3.1942 Pd
1.6046 -1.6046 4.7989 Pd
4.7989 1.6046 1.6046 Pd
0.0000 3.1942 3.1942 Pd
-1.6046 4.7989 1.6046 Pd
-1.6046 1.6046 4.7989 Pd
1.6046 4.7989 1.6046 Pd
1.6046 1.6046 4.7989 Pd
```

Principal peaks in the range 10 to 90 degrees two-theta, by angle:
2theta	intensity
13.0	16
29.4	20
32.3	12
35.0	23
37.5	13
39.8	100
59.4	14
72.3	29